Diffraction record for Tm3In2SnIrPt2. The powder XRD pattern is theoretical, not measured: it uses a crystal structure in OQMD, relaxed with GGA-PBE and λ = 1.5418 Å (Cu Kα).
Intensities are scaled so that the largest is 100.

The 8 most intense peaks (15° ≤ 2θ ≤ 90°), in order of rising 2θ:
33.28 deg, intensity 73, (1 0 2)
36.04 deg, intensity 100, (1 4 0)
41.00 deg, intensity 16, (0 6 0)
41.13 deg, intensity 31, (0 3 3)
43.38 deg, intensity 21, (1 4 2)
47.75 deg, intensity 25, (2 0 0)
64.82 deg, intensity 19, (2 3 3)
66.48 deg, intensity 21, (1 7 3)

Cell and atoms:
```
data_Tm3In2SnIrPt2
_space_group_name_H-M_alt 'A m m 2'
_space_group_IT_number 38
_cell_length_a 3.809
_cell_length_b 13.207
_cell_length_c 7.595
_cell_angle_alpha 90.00
_cell_angle_beta 90.00
_cell_angle_gamma 90.00
loop_
_space_group_symop_operation_xyz
'x,y,z'
'-x,-y,z'
'-x,y,z'
'x,-y,z'
'x,y+1/2,z+1/2'
'-x,-y+1/2,z+1/2'
'-x,y+1/2,z+1/2'
'x,-y+1/2,z+1/2'
loop_
_atom_site_label
_atom_site_type_symbol
_atom_site_fract_x
_atom_site_fract_y
_atom_site_fract_z
Tm1 Tm 0.000 0.000 0.000
Tm2 Tm 0.000 0.201 0.399
In1 In 0.500 0.131 0.730
Sn1 Sn 0.500 0.000 0.339
Ir1 Ir 0.000 0.000 0.593
Pt1 Pt 0.500 0.166 0.101
```

Diffraction record for YTmC2Br2. The powder XRD pattern is theoretical, not measured: it uses a crystal structure in OQMD, relaxed with GGA-PBE and λ = 1.5418 Å (Cu Kα).
Intensities are scaled so that the largest is 100.

The 8 most intense peaks (15° ≤ 2θ ≤ 90°), in order of rising 2θ:
16.28 deg, intensity 39, (0 0 2)
26.97 deg, intensity 50, (1 1 0)
29.25 deg, intensity 75, (2 0 -2)
31.09 deg, intensity 34, (1 1 -2)
32.23 deg, intensity 100, (1 1 2)
37.51 deg, intensity 36, (1 1 3)
42.16 deg, intensity 34, (1 1 -4)
45.92 deg, intensity 39, (3 1 0)

Cell and atoms:
```
data_YTmC2Br2
_space_group_name_H-M_alt 'C 1 m 1'
_space_group_IT_number 8
_cell_length_a 6.997
_cell_length_b 3.754
_cell_length_c 10.928
_cell_angle_alpha 90.00
_cell_angle_beta 94.75
_cell_angle_gamma 90.00
loop_
_space_group_symop_operation_xyz
'x,y,z'
'x,-y,z'
'x+1/2,y+1/2,z'
'x+1/2,-y+1/2,z'
loop_
_atom_site_label
_atom_site_type_symbol
_atom_site_fract_x
_atom_site_fract_y
_atom_site_fract_z
Y1 Y 0.000 0.000 0.000
Tm1 Tm 0.289 0.000 0.263
C1 C 0.070 0.500 0.169
C2 C 0.220 0.500 0.101
Br1 Br 0.320 0.000 0.826
Br2 Br 0.465 0.500 0.433
```

Diffraction record for Tm4I5Br3. The powder XRD pattern is theoretical, not measured: it uses a crystal structure in OQMD, relaxed with GGA-PBE and λ = 1.5418 Å (Cu Kα).
Intensities are scaled so that the largest is 100.

The 8 most intense peaks (15° ≤ 2θ ≤ 90°), in order of rising 2θ:
27.41 deg, intensity 42, (0 1 3)
28.51 deg, intensity 100, (0 1 4)
29.88 deg, intensity 55, (1 0 5)
33.27 deg, intensity 60, (1 0 7)
35.25 deg, intensity 30, (0 1 8)
37.37 deg, intensity 43, (1 0 9)
45.72 deg, intensity 63, (1 1 0)
68.45 deg, intensity 33, (1 1 16)

Cell and atoms:
```
data_Tm4I5Br3
_space_group_name_H-M_alt 'P 3 m 1'
_space_group_IT_number 156
_cell_length_a 3.9692
_cell_length_b 3.9692
_cell_length_c 30.3254
_cell_angle_alpha 90.00
_cell_angle_beta 90.00
_cell_angle_gamma 120.00
loop_
_space_group_symop_operation_xyz
'x,y,z'
'-y,x-y,z'
'-x+y,-x,z'
'-y,-x,z'
'-x+y,y,z'
'x,x-y,z'
loop_
_atom_site_label
_atom_site_type_symbol
_atom_site_fract_x
_atom_site_fract_y
_atom_site_fract_z
Tm1 Tm 0.0000 0.0000 0.0000
Tm2 Tm 0.0000 0.0000 0.2485
Tm3 Tm 0.3333 0.6667 0.5011
Tm4 Tm 0.3333 0.6667 0.7551
I1 I 0.0000 0.0000 0.4358
I2 I 0.0000 0.0000 0.6905
I3 I 0.3333 0.6667 0.1830
I4 I 0.6667 0.3333 0.3137
I5 I 0.6667 0.3333 0.5665
Br1 Br 0.3333 0.6667 0.9436
Br2 Br 0.6667 0.3333 0.0562
Br3 Br 0.6667 0.3333 0.8121
```

Diffraction record for Er4InFe2Si4. The powder XRD pattern is theoretical, not measured: it uses a crystal structure in OQMD, relaxed with GGA-PBE and λ = 1.5418 Å (Cu Kα).
Intensities are scaled so that the largest is 100.

The 8 most intense peaks (15° ≤ 2θ ≤ 90°), in order of rising 2θ:
22.43 deg, intensity 28, (1 1 0)
28.49 deg, intensity 36, (3 1 0)
34.05 deg, intensity 83, (3 1 1)
35.65 deg, intensity 100, (3 1 -2)
37.06 deg, intensity 65, (1 1 2)
37.99 deg, intensity 30, (5 1 0)
43.94 deg, intensity 38, (0 2 0)
59.37 deg, intensity 27, (9 1 -1)

Cell and atoms:
```
data_Er4InFe2Si4
_space_group_name_H-M_alt 'C 1 2/m 1'
_space_group_IT_number 12
_cell_length_a 15.152
_cell_length_b 4.121
_cell_length_c 6.850
_cell_angle_alpha 90.00
_cell_angle_beta 107.27
_cell_angle_gamma 90.00
loop_
_space_group_symop_operation_xyz
'x,y,z'
'-x,-y,-z'
'-x,y,-z'
'x,-y,z'
'x+1/2,y+1/2,z'
'-x+1/2,-y+1/2,-z'
'-x+1/2,y+1/2,-z'
'x+1/2,-y+1/2,z'
loop_
_atom_site_label
_atom_site_type_symbol
_atom_site_fract_x
_atom_site_fract_y
_atom_site_fract_z
Er1 Er 0.089 0.000 0.386
Er2 Er 0.153 0.000 0.939
In1 In 0.000 0.500 0.000
Fe1 Fe 0.219 0.500 0.628
Si1 Si 0.067 0.500 0.652
Si2 Si 0.211 0.500 0.281
```

Diffraction record for Ag17Sb. The powder XRD pattern is theoretical, not measured: it uses a crystal structure in OQMD, relaxed with GGA-PBE and λ = 1.5418 Å (Cu Kα).
Intensities are scaled so that the largest is 100.

The 8 most intense peaks (15° ≤ 2θ ≤ 90°), in order of rising 2θ:
36.17 deg, intensity 49, (0 0 13)
37.49 deg, intensity 100, (2 0 -4)
38.45 deg, intensity 76, (1 2 5)
42.34 deg, intensity 19, (1 2 -8)
43.96 deg, intensity 53, (1 2 -9)
44.09 deg, intensity 26, (2 0 9)
64.27 deg, intensity 22, (3 2 0)
75.92 deg, intensity 18, (3 2 -13)

Cell and atoms:
```
data_Ag17Sb
_space_group_name_H-M_alt 'P 1 21/m 1'
_space_group_IT_number 11
_cell_length_a 5.019
_cell_length_b 5.808
_cell_length_c 32.289
_cell_angle_alpha 90.00
_cell_angle_beta 90.15
_cell_angle_gamma 90.00
loop_
_space_group_symop_operation_xyz
'x,y,z'
'-x,-y,-z'
'-x,y+1/2,-z'
'x,-y+1/2,z'
loop_
_atom_site_label
_atom_site_type_symbol
_atom_site_fract_x
_atom_site_fract_y
_atom_site_fract_z
Ag1 Ag 0.000 0.000 0.000
Ag2 Ag 0.001 0.002 0.225
Ag3 Ag 0.163 0.250 0.850
Ag4 Ag 0.165 0.750 0.301
Ag5 Ag 0.166 0.250 0.075
Ag6 Ag 0.168 0.750 0.074
Ag7 Ag 0.169 0.750 0.850
Ag8 Ag 0.332 0.002 0.925
Ag9 Ag 0.333 0.501 0.149
Ag10 Ag 0.336 0.003 0.700
Ag11 Ag 0.494 0.250 0.224
Ag12 Ag 0.499 0.250 0.776
Ag13 Ag 0.500 0.250 0.001
Sb1 Sb 0.164 0.250 0.308
```

Diffraction record for Tb2SiPt. The powder XRD pattern is theoretical, not measured: it uses a crystal structure in OQMD, relaxed with GGA-PBE and λ = 1.5418 Å (Cu Kα).
Intensities are scaled so that the largest is 100.

The 8 most intense peaks (15° ≤ 2θ ≤ 90°), in order of rising 2θ:
19.45 deg, intensity 45, (0 1 1)
28.90 deg, intensity 44, (1 1 1)
32.03 deg, intensity 90, (1 2 0)
33.35 deg, intensity 72, (0 1 2)
35.72 deg, intensity 100, (1 2 1)
39.33 deg, intensity 43, (0 3 1)
39.84 deg, intensity 98, (1 1 2)
43.12 deg, intensity 45, (2 0 0)

Cell and atoms:
```
data_Tb2SiPt
_space_group_name_H-M_alt 'P m n 21'
_space_group_IT_number 31
_cell_length_a 4.196
_cell_length_b 7.492
_cell_length_c 5.756
_cell_angle_alpha 90.00
_cell_angle_beta 90.00
_cell_angle_gamma 90.00
loop_
_space_group_symop_operation_xyz
'x,y,z'
'-x+1/2,-y,z+1/2'
'-x,y,z'
'x+1/2,-y,z+1/2'
loop_
_atom_site_label
_atom_site_type_symbol
_atom_site_fract_x
_atom_site_fract_y
_atom_site_fract_z
Tb1 Tb 0.000 0.062 0.000
Tb2 Tb 0.000 0.585 0.764
Si1 Si 0.000 0.703 0.271
Pt1 Pt 0.000 0.211 0.503
```

Diffraction record for DyErSbBr2. The powder XRD pattern is theoretical, not measured: it uses a crystal structure in OQMD, relaxed with GGA-PBE and λ = 1.5418 Å (Cu Kα).
Intensities are scaled so that the largest is 100.

The 8 most intense peaks (15° ≤ 2θ ≤ 90°), in order of rising 2θ:
29.65 deg, intensity 100, (1 0 2)
35.15 deg, intensity 16, (1 0 3)
41.78 deg, intensity 38, (0 1 4)
43.06 deg, intensity 35, (1 1 0)
53.15 deg, intensity 19, (0 2 2)
68.87 deg, intensity 17, (1 1 6)
70.71 deg, intensity 16, (2 1 2)
78.05 deg, intensity 12, (1 2 4)

Cell and atoms:
```
data_DyErSbBr2
_space_group_name_H-M_alt 'P 3 m 1'
_space_group_IT_number 156
_cell_length_a 4.2015
_cell_length_b 4.2015
_cell_length_c 10.7513
_cell_angle_alpha 90.00
_cell_angle_beta 90.00
_cell_angle_gamma 120.00
loop_
_space_group_symop_operation_xyz
'x,y,z'
'-y,x-y,z'
'-x+y,-x,z'
'-y,-x,z'
'-x+y,y,z'
'x,x-y,z'
loop_
_atom_site_label
_atom_site_type_symbol
_atom_site_fract_x
_atom_site_fract_y
_atom_site_fract_z
Dy1 Dy 0.0000 0.0000 0.0000
Er1 Er 0.6667 0.3333 0.6797
Sb1 Sb 0.3333 0.6667 0.8379
Br1 Br 0.0000 0.0000 0.5221
Br2 Br 0.6667 0.3333 0.1594
```

Diffraction record for LiP5Au3. The powder XRD pattern is theoretical, not measured: it uses a crystal structure in OQMD, relaxed with GGA-PBE and λ = 1.5418 Å (Cu Kα).
Intensities are scaled so that the largest is 100.

The 8 most intense peaks (15° ≤ 2θ ≤ 90°), in order of rising 2θ:
17.91 deg, intensity 74, (0 0 1)
23.30 deg, intensity 17, (1 0 1)
29.82 deg, intensity 61, (2 0 0)
35.00 deg, intensity 100, (2 0 1)
47.64 deg, intensity 49, (2 0 2)
52.92 deg, intensity 22, (2 2 0)
56.33 deg, intensity 23, (2 2 1)
65.03 deg, intensity 17, (4 0 1)

Cell and atoms:
```
data_LiP5Au3
_space_group_name_H-M_alt 'P 6/m m m'
_space_group_IT_number 191
_space_group_name_Hall '-P 6 2'
_cell_length_a 6.9204
_cell_length_b 6.9204
_cell_length_c 4.9529
_cell_angle_alpha 90.00
_cell_angle_beta 90.00
_cell_angle_gamma 120.00
loop_
_atom_site_label
_atom_site_type_symbol
_atom_site_fract_x
_atom_site_fract_y
_atom_site_fract_z
Li1 Li 0.0000 0.0000 0.0000
P1 P 0.0000 0.0000 0.5000
P2 P 0.3333 0.6667 0.2158
Au1 Au 0.0000 0.5000 0.5000
```

> Which formula does entry 6 have?

Tb2SiPt